Starting from a GGA-PBE-relaxed structure, the powder diffraction line list of ScPa2As2N2 was simulated for copper Kα.
Kinematic intensities with the Lorentz-polarization factor, no thermal factor.

Cell and atoms:
a = 6.1026 Å, b = 6.1026 Å, c = 6.8429 Å
α = 120.51°, β = 120.51°, γ = 36.82°
Fractional positions:
Sc (0.0000, 0.0000, 0.0000)
Pa (0.1913, 0.1913, 0.7403)
Pa (0.8087, 0.8087, 0.2597)
As (0.4346, 0.4346, 0.6669)
As (0.5654, 0.5654, 0.3331)
N (0.2091, 0.2091, 0.0875)
N (0.7909, 0.7909, 0.9125)

Top 8 peaks for 10 to 90 degrees two-theta, in order of falling intensity:
2theta  intensity
31.8  100
31.2  64
36.8  63
26.6  57
36.1  40
30.9  36
16.3  31
47.2  29